Simulated X-ray powder pattern
Compound: GdLu2
Radiation: Cu Kα X-rays
Structure: a structure optimized by DFT (PBE)
Kinematic intensities with the Lorentz-polarization factor, no thermal factor.

abc: 3.501 3.501 14.857
angles: 90.00 90.00 90.00
Space group I4/mmm (No. 139)
Symmetry-distinct sites (fractional):
Gd  0.000  0.000  0.000 (multiplicity 2)
Lu  0.000  0.000  0.331 (multiplicity 4)

Most intense lines, 15 to 90 degrees two-theta, low angle first:
two_theta	I (rel.)	(hkl)
31.29	100	1 0 3
36.29	51	1 1 0
52.26	36	2 0 0
62.18	43	2 1 3
85.48	18	3 0 3
88.27	17	3 1 0

Simulated X-ray powder pattern
Compound: BeAlSn
Radiation: Cu Kα X-rays
Structure: a structure optimized by DFT (PBE)
Kinematic intensities with the Lorentz-polarization factor, no thermal factor.

abc: 3.309 3.654 9.231
angles: 90.00 94.71 90.00
Space group P2_1/m (No. 11)
Symmetry-distinct sites (fractional):
Be  0.010  0.250  0.067 (multiplicity 2)
Al  0.477  0.250  0.873 (multiplicity 2)
Sn  0.105  0.750  0.653 (multiplicity 2)

Most intense lines, 15 to 90 degrees two-theta, low angle first:
two_theta	I (rel.)	(hkl)
26.24	56	0 1 1
27.98	62	1 0 -1
29.12	31	0 0 3
31.26	100	0 1 2
38.63	65	1 1 1
46.00	28	1 1 -3

Simulated X-ray powder pattern
Compound: Sc2B2Ru5Rh
Radiation: Cu Kα X-rays
Structure: a structure optimized by DFT (PBE)
Kinematic intensities with the Lorentz-polarization factor, no thermal factor.

abc: 9.504 9.504 2.992
angles: 90.00 90.00 90.00
Space group P4/mbm (No. 127)
Symmetry-distinct sites (fractional):
Sc  0.176  0.324  0.000 (multiplicity 4)
B  0.121  0.621  0.000 (multiplicity 4)
Ru  0.000  0.500  0.500 (multiplicity 2)
Ru  0.072  0.780  0.500 (multiplicity 8)
Rh  0.000  0.000  0.000 (multiplicity 2)

Most intense lines, 15 to 90 degrees two-theta, low angle first:
two_theta	I (rel.)	(hkl)
36.73	41	2 1 1
39.08	60	4 1 0
40.37	35	2 2 1
42.54	55	4 2 0
42.64	100	3 1 1
45.88	37	3 2 1

Simulated X-ray powder pattern
Compound: KGe2As2
Radiation: Cu Kα X-rays
Structure: a structure optimized by DFT (PBE)
Kinematic intensities with the Lorentz-polarization factor, no thermal factor.

abc: 4.980 4.980 9.826
angles: 90.00 90.00 90.00
Space group I4/mmm (No. 139)
Symmetry-distinct sites (fractional):
K  0.000  0.000  0.000 (multiplicity 2)
Ge  0.000  0.000  0.356 (multiplicity 4)
As  0.000  0.500  0.250 (multiplicity 4)

Most intense lines, 15 to 90 degrees two-theta, low angle first:
two_theta	I (rel.)	(hkl)
18.05	53	0 0 2
31.25	64	1 1 2
32.72	69	1 0 3
36.07	100	2 0 0
44.99	56	1 1 4
49.49	41	2 1 3

Simulated X-ray powder pattern
Compound: In3Au
Radiation: Cu Kα X-rays
Structure: a structure optimized by DFT (PBE)
Kinematic intensities with the Lorentz-polarization factor, no thermal factor.

abc: 6.7399 6.7399 4.9692
angles: 90.00 90.00 120.00
Space group P6_3/mmc (No. 194)
Symmetry-distinct sites (fractional):
In  0.1737  0.3473  0.2500 (multiplicity 6)
Au  0.3333  0.6667  0.7500 (multiplicity 2)

Most intense lines, 15 to 90 degrees two-theta, low angle first:
two_theta	I (rel.)	(hkl)
30.63	25	2 0 0
35.68	100	2 0 1
36.15	22	0 0 2
54.45	19	2 2 0
64.71	17	2 0 3
67.12	20	2 2 2

Simulated X-ray powder pattern
Compound: Cs2TbB2S6
Radiation: Cu Kα X-rays
Structure: a structure optimized by DFT (PBE)
Kinematic intensities with the Lorentz-polarization factor, no thermal factor.

abc: 6.7968 6.7968 23.9185
angles: 90.00 90.00 120.00
Space group R-3m (No. 166, hexagonal axes)
Symmetry-distinct sites (fractional):
Cs  0.0000  0.0000  0.2095 (multiplicity 6)
Tb  0.0000  0.0000  0.0000 (multiplicity 3)
B  0.0000  0.0000  0.4021 (multiplicity 6)
S  0.0259  0.5130  0.2599 (multiplicity 18)

Most intense lines, 15 to 90 degrees two-theta, low angle first:
two_theta	I (rel.)	(hkl)
15.50	43	1 0 1
23.97	100	0 1 5
26.22	50	1 1 0
33.95	41	0 2 4
40.72	37	1 0 10
43.20	31	1 1 9

Simulated X-ray powder pattern
Compound: CsPaAg2Te4
Radiation: Cu Kα X-rays
Structure: a structure optimized by DFT (PBE)
Kinematic intensities with the Lorentz-polarization factor, no thermal factor.

abc: 7.098 9.216 10.033
angles: 90.00 90.00 90.00
Space group I222 (No. 23)
Symmetry-distinct sites (fractional):
Cs  0.000  0.000  0.000 (multiplicity 2)
Pa  0.000  0.000  0.500 (multiplicity 2)
Ag  0.000  0.500  0.142 (multiplicity 4)
Te  0.214  0.191  0.326 (multiplicity 8)

Most intense lines, 15 to 90 degrees two-theta, low angle first:
two_theta	I (rel.)	(hkl)
23.77	100	1 1 2
24.69	31	1 2 1
26.26	38	0 2 2
31.83	71	2 2 0
36.57	32	1 3 2
39.33	46	1 1 4

Simulated X-ray powder pattern
Compound: AcCd12Pd4
Radiation: Cu Kα X-rays
Structure: a structure optimized by DFT (PBE)
Kinematic intensities with the Lorentz-polarization factor, no thermal factor.

abc: 9.542 9.542 9.542
angles: 90.00 90.00 90.00
Space group Im-3 (No. 204)
Symmetry-distinct sites (fractional):
Ac  0.000  0.000  0.000 (multiplicity 2)
Cd  0.000  0.345  0.161 (multiplicity 24)
Pd  0.250  0.250  0.250 (multiplicity 8)

Most intense lines, 15 to 90 degrees two-theta, low angle first:
two_theta	I (rel.)	(hkl)
29.61	100	3 0 1
35.19	51	3 1 2
42.36	18	4 0 2
46.63	38	4 2 2
48.66	33	4 3 1
66.46	17	6 1 3